Record 1
For FeOF, DFT lattice parameters and positions (PBE+U) gives the theoretical powder XRD pattern in this record (a wavelength of 1.5418 Å).

Most intense lines, 2θ from 5° to 70°, sorted by position:
- 26.6 deg, I = 100.0, (0 2 0)
- 34.6 deg, I = 55.1, (1 1 1)
- 38.0 deg, I = 7.8, (0 2 2)
- 39.7 deg, I = 18.6, (1 0 2)
- 42.7 deg, I = 10.4, (0 1 3)
- 52.4 deg, I = 59.0, (1 3 1)
- 54.9 deg, I = 16.2, (0 4 0)
- 59.8 deg, I = 9.7, (2 0 0)
- 62.0 deg, I = 7.5, (0 4 2)
- 66.5 deg, I = 32.0, (1 3 3)

Structural model:
```
FeOF
1.0
3.095 0.000 0.000
0.000 6.695 0.000
0.000 0.000 6.692
Fe O F
4 4 4
direct
0.000 0.228 0.000
0.000 0.772 0.500
0.500 0.236 0.539
0.500 0.764 0.039
0.000 0.259 0.711
0.000 0.741 0.211
0.500 0.054 0.016
0.500 0.946 0.516
0.000 0.259 0.319
0.000 0.741 0.819
0.500 0.445 0.016
0.500 0.555 0.516
```

---

Record 2
For SrPrFe2O6, DFT lattice parameters and positions (PBE+U) gives the theoretical powder XRD pattern in this record (a wavelength of 1.5418 Å).

Most intense lines, 2θ from 5° to 70°, sorted by position:
- 19.6 deg, I = 8.4, (1 0 1)
- 22.6 deg, I = 8.9, (2 0 0)
- 32.1 deg, I = 19.4, (0 0 2)
- 32.2 deg, I = 100.0, (2 1 1)
- 39.8 deg, I = 8.3, (2 2 0)
- 46.1 deg, I = 25.4, (0 2 2)
- 46.3 deg, I = 12.7, (4 0 0)
- 57.2 deg, I = 17.3, (2 1 3)
- 57.5 deg, I = 22.2, (4 0 2)
- 67.4 deg, I = 13.5, (4 2 2)

Structural model:
```
SrPrFe2O6
1.0
7.845 0.000 0.000
0.000 5.549 0.000
0.000 0.000 5.584
Sr Pr Fe O
2 2 4 12
direct
0.000 0.237 0.000
0.500 0.763 0.500
0.000 0.722 0.513
0.500 0.278 0.013
0.250 0.247 0.502
0.250 0.753 0.002
0.750 0.247 0.502
0.750 0.753 0.002
0.000 0.264 0.447
0.000 0.755 0.080
0.213 0.973 0.723
0.216 0.490 0.761
0.284 0.510 0.261
0.287 0.027 0.223
0.500 0.245 0.580
0.500 0.736 0.947
0.713 0.027 0.223
0.716 0.510 0.261
0.784 0.490 0.761
0.787 0.973 0.723
```